Theoretical powder diffractogram of Ho7Bi3C2 for CuKα, from a cell relaxed with GGA-PBE.
Lines closer than 0.1° are merged.

Most intense lines, 2θ = 10–90°, by angle:
31.56°, intensity 100, (1 5 1)
35.88°, intensity 17, (0 10 0)
36.73°, intensity 18, (2 0 0)
37.19°, intensity 18, (0 0 2)
52.29°, intensity 12, (2 10 0)
52.64°, intensity 11, (0 10 2)
53.26°, intensity 13, (2 0 2)
62.93°, intensity 14, (3 5 1)
63.55°, intensity 14, (1 5 3)
65.90°, intensity 12, (2 10 2)

Structural model:
a = 4.8941 Å, b = 25.0260 Å, c = 4.8352 Å
α = 90.00°, β = 90.00°, γ = 90.00°
Space group Cmmm (No. 65)
Unique sites:
Ho: 0.0000 0.0000 0.0000 x2
Ho: 0.0000 0.0962 0.5000 x4
Ho: 0.0000 0.1946 0.0000 x4
Ho: 0.0000 0.4038 0.0000 x4
Bi: 0.0000 0.3105 0.5000 x4
Bi: 0.0000 0.5000 0.5000 x2
C: 0.0000 0.0998 0.0000 x4